# CaSn7Os2
Simulated XRD peak list, Cu Kα. Input: a structure optimized by DFT (PBE).
Neutral-atom scattering factors, no anomalous dispersion.

Main lines, by angle (15° ≤ 2θ ≤ 90°):
| Position (°2θ) | d [Å] | I (rel.) |
| --- | --- | --- |
| 19.19 | 4.626 | 100.0 |
| 32.66 | 2.742 | 56.7 |
| 36.63 | 2.453 | 59.0 |
| 38.94 | 2.313 | 56.8 |
| 39.04 | 2.307 | 58.1 |
| 41.10 | 2.196 | 55.3 |

Crystal structure
```
10
Lattice="4.4366 -6.9750 0.0000 4.4366 6.9750 0.0000 0.0000 0.0000 4.6262" Properties=species:S:1:pos:R:3 pbc="T T T"
Ca 0.0000 0.0000 0.0000
Sn 1.7736 1.9443 2.3131
Sn 4.4366 3.7059 0.0000
Sn 1.7736 -1.9443 2.3131
Sn 4.4366 0.0000 2.3131
Sn 7.0996 1.9443 2.3131
Sn 4.4366 -3.7059 0.0000
Sn 7.0996 -1.9443 2.3131
Os 4.4366 2.5414 2.3131
Os 4.4366 -2.5414 2.3131
```

# Pr6NdMg2
Simulated XRD peak list, Cu Kα. Input: a structure optimized by DFT (PBE).
Neutral-atom scattering factors, no anomalous dispersion.

Main lines, by angle (15° ≤ 2θ ≤ 90°):
| Position (°2θ) | d [Å] | I (rel.) |
| --- | --- | --- |
| 19.24 | 4.613 | 20.3 |
| 28.71 | 3.110 | 15.6 |
| 30.07 | 2.971 | 37.9 |
| 30.42 | 2.938 | 100.0 |
| 35.17 | 2.551 | 67.3 |
| 50.36 | 1.812 | 24.5 |

Crystal structure
```
9
Lattice="3.1170 -5.3799 0.0000 3.1170 5.3799 0.0000 0.0000 0.0000 8.9142" Properties=species:S:1:pos:R:3 pbc="T T T"
Pr 1.6016 0.9200 5.8923
Pr 3.1170 3.5202 0.0000
Pr 1.6016 -0.9200 3.0219
Pr 4.6324 0.9200 3.0219
Pr 3.1170 -3.5202 0.0000
Pr 4.6324 -0.9200 5.8923
Nd 3.1170 0.0000 0.0000
Mg 1.5585 2.6900 2.9274
Mg 1.5585 -2.6900 5.9868
```

# EuHo2Ti
Simulated XRD peak list, Cu Kα. Input: a structure optimized by DFT (PBE).
Neutral-atom scattering factors, no anomalous dispersion.

Main lines, by angle (15° ≤ 2θ ≤ 90°):
| Position (°2θ) | d [Å] | I (rel.) |
| --- | --- | --- |
| 26.31 | 3.387 | 35.5 |
| 30.13 | 2.966 | 20.3 |
| 31.64 | 2.828 | 100.0 |
| 34.63 | 2.590 | 53.1 |
| 46.55 | 1.951 | 25.0 |
| 60.20 | 1.537 | 31.4 |

Crystal structure
```
4
Lattice="3.6630 0.0000 0.0000 0.0000 3.6630 0.0000 0.0000 0.0000 8.8985" Properties=species:S:1:pos:R:3 pbc="T T T"
Eu 0.0000 0.0000 0.0000
Ho 1.8315 1.8315 2.7098
Ho 1.8315 1.8315 6.1887
Ti 0.0000 0.0000 4.4492
```

# Ac2Si7Au12
Simulated XRD peak list, Cu Kα. Input: a structure optimized by DFT (PBE).
Neutral-atom scattering factors, no anomalous dispersion.

Main lines, by angle (15° ≤ 2θ ≤ 90°):
| Position (°2θ) | d [Å] | I (rel.) |
| --- | --- | --- |
| 26.88 | 3.317 | 18.1 |
| 33.39 | 2.684 | 100.0 |
| 39.48 | 2.283 | 18.1 |
| 45.03 | 2.013 | 13.6 |
| 47.47 | 1.915 | 11.2 |
| 67.75 | 1.383 | 11.4 |

Crystal structure
```
21
Lattice="10.1340 0.0000 0.0000 -5.0670 8.7763 0.0000 0.0000 0.0000 4.5651" Properties=species:S:1:pos:R:3 pbc="T T T"
Ac 0.0000 5.8509 1.1963
Ac 5.0670 2.9254 3.3689
Si 0.0000 0.0000 0.0000
Si -0.8882 3.4328 3.5716
Si -1.6500 7.8291 3.5716
Si 2.5288 2.4856 0.9936
Si 2.5382 6.2907 3.5716
Si 6.7170 0.9472 0.9936
Si 5.9552 5.3435 0.9936
Au -2.4358 5.3872 3.4100
Au -3.1308 7.5895 1.3270
Au 0.0597 2.2702 1.3270
Au 1.9959 1.0834 3.2381
Au 1.6195 3.9733 3.4100
Au 4.2507 0.5841 1.1552
Au 0.8163 8.1922 3.4100
Au 3.4475 4.8031 1.1552
Au 3.0711 7.6929 1.3270
Au 5.0073 6.5061 3.2381
Au 8.1978 1.1868 3.2381
Au 7.5028 3.3891 1.1552
```

# Ho2Be2GeO7
Simulated XRD peak list, Cu Kα. Input: a structure optimized by DFT (PBE).
Neutral-atom scattering factors, no anomalous dispersion.

Main lines, by angle (15° ≤ 2θ ≤ 90°):
| Position (°2θ) | d [Å] | I (rel.) |
| --- | --- | --- |
| 18.45 | 4.809 | 38.0 |
| 25.11 | 3.546 | 44.1 |
| 26.85 | 3.320 | 51.2 |
| 30.42 | 2.938 | 42.3 |
| 32.78 | 2.732 | 100.0 |
| 46.64 | 1.948 | 42.9 |

Crystal structure
```
24
Lattice="7.4238 0.0000 0.0000 0.0000 7.4238 0.0000 0.0000 0.0000 4.8094" Properties=species:S:1:pos:R:3 pbc="T T T"
Ho 1.1727 2.5392 0.0291
Ho 2.5392 6.2511 4.7803
Ho 4.8846 1.1727 4.7803
Ho 6.2511 4.8846 0.0291
Be 1.0029 4.7148 2.6363
Be 2.7090 1.0029 2.1731
Be 4.7148 6.4209 2.1731
Be 6.4209 2.7090 2.6363
Ge 0.0000 0.0000 2.4047
Ge 3.7119 3.7119 2.4047
O 0.0000 3.7119 3.3120
O 0.6105 6.1518 3.4535
O 1.0544 4.7663 1.0480
O 1.2720 0.6105 1.3559
O 2.4399 4.3224 3.4535
O 2.6575 1.0544 3.7614
O 3.1014 2.4399 1.3559
O 3.7119 0.0000 1.4974
O 4.3224 4.9838 1.3559
O 4.7663 6.3694 3.7614
O 4.9838 3.1014 3.4535
O 6.1518 6.8133 1.3559
O 6.3694 2.6575 1.0480
O 6.8133 1.2720 3.4535
```

# Pm7TlSn4
Simulated XRD peak list, Cu Kα. Input: a structure optimized by DFT (PBE).
Neutral-atom scattering factors, no anomalous dispersion.

Main lines, by angle (15° ≤ 2θ ≤ 90°):
| Position (°2θ) | d [Å] | I (rel.) |
| --- | --- | --- |
| 25.15 | 3.540 | 18.6 |
| 26.90 | 3.314 | 28.7 |
| 30.74 | 2.908 | 65.1 |
| 33.15 | 2.702 | 100.0 |
| 34.80 | 2.578 | 41.1 |
| 45.86 | 1.979 | 32.1 |

Crystal structure
```
12
Lattice="7.4279 -2.9083 0.0000 7.4279 2.9083 0.0000 -6.5748 0.0000 9.0294" Properties=species:S:1:pos:R:3 pbc="T T T"
Pm 0.0000 0.0000 0.0000
Pm -1.4655 0.0000 5.2329
Pm 3.5727 0.0000 1.1418
Pm 1.9110 0.0000 6.0457
Pm 6.3699 0.0000 2.9837
Pm 4.7083 0.0000 7.8876
Pm 9.7465 0.0000 3.7965
Tl 7.4279 0.0000 0.0000
Sn -4.0088 0.0000 7.0197
Sn 0.9993 0.0000 3.0170
Sn 7.2816 0.0000 6.0124
Sn 12.2898 0.0000 2.0097
```

# Ga2Ag3
Simulated XRD peak list, Cu Kα. Input: a structure optimized by DFT (PBE).
Neutral-atom scattering factors, no anomalous dispersion.

Main lines, by angle (15° ≤ 2θ ≤ 90°):
| Position (°2θ) | d [Å] | I (rel.) |
| --- | --- | --- |
| 32.36 | 2.766 | 100.0 |
| 39.77 | 2.267 | 46.3 |
| 39.97 | 2.256 | 20.6 |
| 40.23 | 2.242 | 32.1 |
| 41.50 | 2.176 | 23.3 |
| 47.93 | 1.898 | 24.7 |

Crystal structure
```
10
Lattice="3.5124 2.0279 4.4834 -3.5124 2.0279 4.4834 0.0000 -4.0557 4.4834" Properties=species:S:1:pos:R:3 pbc="T T T"
Ga 0.0000 0.0000 1.2615
Ga 0.0000 0.0000 5.4636
Ga 0.0000 0.0000 7.9866
Ga 0.0000 0.0000 12.1886
Ag -0.8691 -1.5053 3.3626
Ag -0.8691 1.5053 3.3625
Ag 1.7381 0.0000 3.3625
Ag -1.7381 0.0000 10.0877
Ag 0.8691 -1.5053 10.0876
Ag 0.8691 1.5053 10.0876
```

# SnHg15
Simulated XRD peak list, Cu Kα. Input: a structure optimized by DFT (PBE).
Neutral-atom scattering factors, no anomalous dispersion.

Main lines, by angle (15° ≤ 2θ ≤ 90°):
| Position (°2θ) | d [Å] | I (rel.) |
| --- | --- | --- |
| 30.61 | 2.920 | 23.3 |
| 32.72 | 2.737 | 26.1 |
| 34.82 | 2.577 | 100.0 |
| 54.42 | 1.686 | 19.0 |
| 59.77 | 1.547 | 21.5 |
| 64.96 | 1.436 | 22.5 |

Crystal structure
```
16
Lattice="6.7444 0.0000 0.0000 -3.3722 5.8409 0.0000 0.0000 0.0000 10.9466" Properties=species:S:1:pos:R:3 pbc="T T T"
Sn 0.0000 0.0000 0.0000
Hg 0.0000 0.0000 5.4733
Hg -1.6825 2.9225 5.4733
Hg -1.6746 2.9271 0.0000
Hg 0.0000 3.8939 2.7610
Hg 0.0000 3.8939 8.1856
Hg 1.6904 0.9759 2.7675
Hg 1.6904 0.9759 8.1791
Hg 1.6746 2.9271 0.0000
Hg 0.0000 5.8276 0.0000
Hg 1.6825 2.9225 5.4733
Hg 0.0000 5.8367 5.4733
Hg 5.0541 0.9759 2.7675
Hg 5.0541 0.9759 8.1791
Hg 3.3722 3.8890 2.7675
Hg 3.3722 3.8890 8.1791
```

# Er2AsRh3
Simulated XRD peak list, Cu Kα. Input: a structure optimized by DFT (PBE).
Neutral-atom scattering factors, no anomalous dispersion.

Main lines, by angle (15° ≤ 2θ ≤ 90°):
| Position (°2θ) | d [Å] | I (rel.) |
| --- | --- | --- |
| 32.16 | 2.783 | 43.2 |
| 35.56 | 2.525 | 46.3 |
| 38.10 | 2.362 | 65.7 |
| 39.61 | 2.275 | 100.0 |
| 40.40 | 2.233 | 36.7 |
| 42.49 | 2.127 | 33.7 |

Crystal structure
```
6
Lattice="2.7830 1.6068 3.9513 -2.7830 1.6068 3.9513 0.0000 -3.2135 3.9513" Properties=species:S:1:pos:R:3 pbc="T T T"
Er 0.0000 0.0000 1.5215
Er 0.0000 0.0000 10.3323
As 0.0000 0.0000 5.9269
Rh -1.3915 -0.8034 3.9513
Rh -1.3915 0.8034 7.9025
Rh 0.0000 1.6068 3.9513
```

# In5NiPd4
Simulated XRD peak list, Cu Kα. Input: a structure optimized by DFT (PBE).
Neutral-atom scattering factors, no anomalous dispersion.

Main lines, by angle (15° ≤ 2θ ≤ 90°):
| Position (°2θ) | d [Å] | I (rel.) |
| --- | --- | --- |
| 38.76 | 2.323 | 51.7 |
| 38.91 | 2.315 | 100.0 |
| 55.98 | 1.643 | 17.3 |
| 70.27 | 1.340 | 33.3 |
| 70.56 | 1.335 | 15.3 |
| 83.54 | 1.157 | 9.7 |

Crystal structure
```
10
Lattice="3.2853 0.0000 0.0000 0.0000 3.2853 0.0000 0.0000 0.0000 16.3083" Properties=species:S:1:pos:R:3 pbc="T T T"
In 0.0000 0.0000 0.0000
In 0.0000 0.0000 3.3216
In 0.0000 0.0000 6.6412
In 0.0000 0.0000 9.6671
In 0.0000 0.0000 12.9867
Ni 1.6427 1.6427 8.1542
Pd 1.6427 1.6427 1.6683
Pd 1.6427 1.6427 4.9963
Pd 1.6427 1.6427 11.3120
Pd 1.6427 1.6427 14.6400
```

# PmY2ZrP4
Simulated XRD peak list, Cu Kα. Input: a structure optimized by DFT (PBE).
Neutral-atom scattering factors, no anomalous dispersion.

Main lines, by angle (15° ≤ 2θ ≤ 90°):
| Position (°2θ) | d [Å] | I (rel.) |
| --- | --- | --- |
| 27.54 | 3.239 | 57.9 |
| 31.90 | 2.805 | 100.0 |
| 45.69 | 1.985 | 35.3 |
| 45.80 | 1.981 | 35.4 |
| 54.26 | 1.690 | 15.9 |
| 56.90 | 1.618 | 18.2 |

Crystal structure
```
8
Lattice="6.8617 0.0000 0.0000 0.0000 3.9638 0.0000 -2.2672 0.0000 6.4913" Properties=species:S:1:pos:R:3 pbc="T T T"
Pm 0.0000 0.0000 0.0000
Y 2.2973 0.0000 3.2457
Y 3.4309 1.9819 0.0000
Zr -1.1336 1.9819 3.2457
P -0.0159 0.0000 4.7788
P 1.1123 1.9819 1.6962
P 3.4822 1.9819 4.7952
P 4.6105 0.0000 1.7125
```

# Ca2Cd15Pb2
Simulated XRD peak list, Cu Kα. Input: a structure optimized by DFT (PBE).
Neutral-atom scattering factors, no anomalous dispersion.

Main lines, by angle (15° ≤ 2θ ≤ 90°):
| Position (°2θ) | d [Å] | I (rel.) |
| --- | --- | --- |
| 29.43 | 3.035 | 34.8 |
| 34.11 | 2.629 | 49.6 |
| 34.72 | 2.584 | 59.5 |
| 38.83 | 2.319 | 100.0 |
| 40.46 | 2.230 | 32.8 |
| 61.05 | 1.518 | 26.8 |

Crystal structure
```
19
Lattice="5.2576 3.0355 4.9239 -5.2576 3.0355 4.9239 0.0000 -6.0709 4.9239" Properties=species:S:1:pos:R:3 pbc="T T T"
Ca 0.0000 0.0000 2.3357
Ca 0.0000 0.0000 12.4359
Cd -2.6288 -1.5177 4.9239
Cd 0.0000 -3.2035 4.7581
Cd -2.7743 1.6017 4.7581
Cd -1.6617 -2.8782 7.3858
Cd -3.3235 0.0000 7.3858
Cd -2.7743 -1.6017 10.0135
Cd -2.6288 1.5177 9.8477
Cd 1.6617 -2.8782 7.3858
Cd 0.0000 3.0355 4.9239
Cd -1.6617 2.8782 7.3858
Cd 2.7743 1.6018 4.7581
Cd 3.3235 0.0000 7.3858
Cd 1.6617 2.8782 7.3858
Cd 2.7743 -1.6018 10.0135
Cd 0.0000 3.2035 10.0135
Pb 0.0000 0.0000 5.8249
Pb 0.0000 0.0000 8.9466
```

# ThW2N6
Simulated XRD peak list, Cu Kα. Input: a structure optimized by DFT (PBE).
Neutral-atom scattering factors, no anomalous dispersion.

Main lines, by angle (15° ≤ 2θ ≤ 90°):
| Position (°2θ) | d [Å] | I (rel.) |
| --- | --- | --- |
| 19.73 | 4.499 | 40.7 |
| 21.86 | 4.067 | 60.4 |
| 28.89 | 3.090 | 100.0 |
| 33.19 | 2.699 | 96.2 |
| 44.56 | 2.033 | 34.6 |
| 47.22 | 1.925 | 48.1 |

Crystal structure
```
9
Lattice="2.7001 1.5589 5.4896 -2.7001 1.5589 5.4896 0.0000 -3.1178 5.4896" Properties=species:S:1:pos:R:3 pbc="T T T"
Th 0.0000 0.0000 0.0000
W 0.0000 0.0000 3.4361
W 0.0000 0.0000 8.3103
N -0.3230 -1.6010 7.3424
N -1.6459 0.2207 9.7458
N -1.2250 1.0802 7.3424
N 0.6318 -1.5357 9.7458
N 1.5480 0.5208 7.3424
N 1.0141 1.3150 9.7458
```